# 1
The following is a theoretical powder diffraction line list of CdI2. It was derived from a DFT-relaxed cell (PBE, the Materials Project), using Cu Ka.
Neutral-atom scattering factors, no anomalous dispersion.

Main lines, by angle (2θ from 10° to 90°):
- d 7.379, rel. 57, hkl 0 0 12
- d 3.351, rel. 100, hkl 1 0 12
- d 2.634, rel. 24, hkl 1 0 24
- d 2.171, rel. 55, hkl 1 1 0
- d 2.059, rel. 26, hkl 0 1 36
- d 1.406, rel. 24, hkl 1 1 48

Atomic structure:
Lattice parameters (Å, degrees): 4.3428 4.3428 88.5533 90.00 90.00 120.00
Space group P3m1 (No. 156)
Asymmetric unit:
1 Cd 0.0000 0.0000 0.0000 x1
2 Cd 0.0000 0.0000 0.0833 x1
3 Cd 0.0000 0.0000 0.1667 x1
4 Cd 0.0000 0.0000 0.2500 x1
5 Cd 0.0000 0.0000 0.4166 x1
6 Cd 0.0000 0.0000 0.5000 x1
7 Cd 0.0000 0.0000 0.6667 x1
8 Cd 0.0000 0.0000 0.8333 x1
9 Cd 0.3333 0.6667 0.5833 x1
10 Cd 0.3333 0.6667 0.7500 x1
11 Cd 0.3333 0.6667 0.9166 x1
12 Cd 0.6667 0.3333 0.3333 x1
13 I 0.0000 0.0000 0.3529 x1
14 I 0.0000 0.0000 0.5638 x1
15 I 0.0000 0.0000 0.7304 x1
16 I 0.0000 0.0000 0.8971 x1
17 I 0.3333 0.6667 0.0638 x1
18 I 0.3333 0.6667 0.1471 x1
19 I 0.3333 0.6667 0.2304 x1
20 I 0.3333 0.6667 0.3138 x1
21 I 0.3333 0.6667 0.3971 x1
22 I 0.3333 0.6667 0.4805 x1
23 I 0.3333 0.6667 0.6471 x1
24 I 0.3333 0.6667 0.8138 x1
25 I 0.3333 0.6667 0.9805 x1
26 I 0.6667 0.3333 0.0195 x1
27 I 0.6667 0.3333 0.1028 x1
28 I 0.6667 0.3333 0.1862 x1
29 I 0.6667 0.3333 0.2695 x1
30 I 0.6667 0.3333 0.4362 x1
31 I 0.6667 0.3333 0.5195 x1
32 I 0.6667 0.3333 0.6028 x1
33 I 0.6667 0.3333 0.6862 x1
34 I 0.6667 0.3333 0.7695 x1
35 I 0.6667 0.3333 0.8529 x1
36 I 0.6667 0.3333 0.9362 x1

# 2
The following is a theoretical powder diffraction line list of CdI2. It was derived from a DFT-relaxed cell (PBE, the Materials Project), using Cu Ka.
Neutral-atom scattering factors, no anomalous dispersion.

Main lines, by angle (2θ from 10° to 90°):
- d 8.059, rel. 100, hkl 0 0 12
- d 3.405, rel. 97, hkl 0 1 12
- d 2.748, rel. 31, hkl 1 0 24
- d 2.185, rel. 24, hkl 1 0 36
- d 2.169, rel. 52, hkl 1 1 0
- d 2.094, rel. 21, hkl 1 1 12

Atomic structure:
Lattice parameters (Å, degrees): 4.3379 4.3379 96.7098 90.00 90.00 120.00
Space group P3m1 (No. 156)
Asymmetric unit:
1 Cd 0.0000 0.0000 0.0000 x1
2 Cd 0.0000 0.0000 0.0821 x1
3 Cd 0.0000 0.0000 0.2488 x1
4 Cd 0.0000 0.0000 0.5832 x1
5 Cd 0.0000 0.0000 0.6659 x1
6 Cd 0.0000 0.0000 0.9165 x1
7 Cd 0.6667 0.3333 0.1668 x1
8 Cd 0.6667 0.3333 0.3330 x1
9 Cd 0.6667 0.3333 0.4156 x1
10 Cd 0.6667 0.3333 0.5006 x1
11 Cd 0.6667 0.3333 0.7493 x1
12 Cd 0.6667 0.3333 0.8339 x1
13 I 0.0000 0.0000 0.1491 x1
14 I 0.0000 0.0000 0.3153 x1
15 I 0.0000 0.0000 0.3978 x1
16 I 0.0000 0.0000 0.4829 x1
17 I 0.0000 0.0000 0.7315 x1
18 I 0.0000 0.0000 0.8161 x1
19 I 0.3333 0.6667 0.0178 x1
20 I 0.3333 0.6667 0.0998 x1
21 I 0.3333 0.6667 0.1846 x1
22 I 0.3333 0.6667 0.2666 x1
23 I 0.3333 0.6667 0.3508 x1
24 I 0.3333 0.6667 0.4334 x1
25 I 0.3333 0.6667 0.5184 x1
26 I 0.3333 0.6667 0.6009 x1
27 I 0.3333 0.6667 0.6837 x1
28 I 0.3333 0.6667 0.7671 x1
29 I 0.3333 0.6667 0.8516 x1
30 I 0.3333 0.6667 0.9343 x1
31 I 0.6667 0.3333 0.0643 x1
32 I 0.6667 0.3333 0.2311 x1
33 I 0.6667 0.3333 0.5654 x1
34 I 0.6667 0.3333 0.6481 x1
35 I 0.6667 0.3333 0.8987 x1
36 I 0.6667 0.3333 0.9822 x1

# 3
The following is a theoretical powder diffraction line list of CdI2. It was derived from a DFT-relaxed cell (PBE, the Materials Project), using Cu Ka.
Neutral-atom scattering factors, no anomalous dispersion.

Main lines, by angle (2θ from 10° to 90°):
- d 7.449, rel. 56, hkl 0 0 9
- d 3.351, rel. 100, hkl 0 1 9
- d 2.643, rel. 27, hkl 0 1 18
- d 2.166, rel. 50, hkl 1 1 0
- d 2.071, rel. 26, hkl 1 0 27
- d 1.412, rel. 22, hkl 1 1 36

Atomic structure:
Lattice parameters (Å, degrees): 4.3329 4.3329 67.0407 90.00 90.00 120.00
Space group P3m1 (No. 156)
Asymmetric unit:
1 Cd 0.0000 0.0000 0.0000 x1
2 Cd 0.0000 0.0000 0.1111 x1
3 Cd 0.0000 0.0000 0.2222 x1
4 Cd 0.0000 0.0000 0.4445 x1
5 Cd 0.0000 0.0000 0.6667 x1
6 Cd 0.0000 0.0000 0.7778 x1
7 Cd 0.6667 0.3333 0.3334 x1
8 Cd 0.6667 0.3333 0.5556 x1
9 Cd 0.6667 0.3333 0.8889 x1
10 I 0.0000 0.0000 0.3076 x1
11 I 0.0000 0.0000 0.5299 x1
12 I 0.0000 0.0000 0.8631 x1
13 I 0.3333 0.6667 0.0258 x1
14 I 0.3333 0.6667 0.1369 x1
15 I 0.3333 0.6667 0.2480 x1
16 I 0.3333 0.6667 0.3591 x1
17 I 0.3333 0.6667 0.4702 x1
18 I 0.3333 0.6667 0.5813 x1
19 I 0.3333 0.6667 0.6924 x1
20 I 0.3333 0.6667 0.8036 x1
21 I 0.3333 0.6667 0.9146 x1
22 I 0.6667 0.3333 0.0854 x1
23 I 0.6667 0.3333 0.1965 x1
24 I 0.6667 0.3333 0.4187 x1
25 I 0.6667 0.3333 0.6409 x1
26 I 0.6667 0.3333 0.7520 x1
27 I 0.6667 0.3333 0.9742 x1

# 4
The following is a theoretical powder diffraction line list of CdI2. It was derived from a DFT-relaxed cell (PBE, the Materials Project), using Cu Ka.
Neutral-atom scattering factors, no anomalous dispersion.

Main lines, by angle (2θ from 10° to 90°):
- d 7.404, rel. 56, hkl 0 0 5
- d 3.347, rel. 100, hkl 1 0 5
- d 3.206, rel. 25, hkl 1 0 6
- d 2.772, rel. 27, hkl 0 1 9
- d 2.167, rel. 52, hkl 1 1 0
- d 2.062, rel. 26, hkl 0 1 15

Atomic structure:
Lattice parameters (Å, degrees): 4.3333 4.3333 37.0175 90.00 90.00 120.00
Space group P3m1 (No. 156)
Asymmetric unit:
1 Cd 0.0000 0.0000 0.0000 x1
2 Cd 0.0000 0.0000 0.1999 x1
3 Cd 0.0000 0.0000 0.3999 x1
4 Cd 0.6667 0.3333 0.6000 x1
5 Cd 0.6667 0.3333 0.8000 x1
6 I 0.0000 0.0000 0.6466 x1
7 I 0.0000 0.0000 0.8466 x1
8 I 0.3333 0.6667 0.1533 x1
9 I 0.3333 0.6667 0.3533 x1
10 I 0.3333 0.6667 0.5534 x1
11 I 0.3333 0.6667 0.7534 x1
12 I 0.3333 0.6667 0.9534 x1
13 I 0.6667 0.3333 0.0466 x1
14 I 0.6667 0.3333 0.2465 x1
15 I 0.6667 0.3333 0.4466 x1

# 5
The following is a theoretical powder diffraction line list of CdI2. It was derived from a DFT-relaxed cell (PBE, the Materials Project), using Cu Ka.
Neutral-atom scattering factors, no anomalous dispersion.

Main lines, by angle (2θ from 10° to 90°):
- d 7.461, rel. 54, hkl 0 0 12
- d 3.355, rel. 100, hkl 0 1 12
- d 2.647, rel. 33, hkl 0 1 24
- d 2.169, rel. 47, hkl 1 1 0
- d 2.074, rel. 27, hkl 1 0 36
- d 1.414, rel. 20, hkl 1 1 48

Atomic structure:
Lattice parameters (Å, degrees): 4.3378 4.3378 89.5267 90.00 90.00 120.00
Space group P3m1 (No. 156)
Asymmetric unit:
1 Cd 0.0000 0.0000 0.0000 x1
2 Cd 0.0000 0.0000 0.0833 x1
3 Cd 0.0000 0.0000 0.1667 x1
4 Cd 0.0000 0.0000 0.2500 x1
5 Cd 0.0000 0.0000 0.4166 x1
6 Cd 0.0000 0.0000 0.5000 x1
7 Cd 0.0000 0.0000 0.6667 x1
8 Cd 0.0000 0.0000 0.7500 x1
9 Cd 0.0000 0.0000 0.8333 x1
10 Cd 0.6667 0.3333 0.3333 x1
11 Cd 0.6667 0.3333 0.5833 x1
12 Cd 0.6667 0.3333 0.9166 x1
13 I 0.0000 0.0000 0.3141 x1
14 I 0.0000 0.0000 0.5641 x1
15 I 0.0000 0.0000 0.8974 x1
16 I 0.3333 0.6667 0.0192 x1
17 I 0.3333 0.6667 0.1025 x1
18 I 0.3333 0.6667 0.1859 x1
19 I 0.3333 0.6667 0.2692 x1
20 I 0.3333 0.6667 0.3526 x1
21 I 0.3333 0.6667 0.4359 x1
22 I 0.3333 0.6667 0.5192 x1
23 I 0.3333 0.6667 0.6025 x1
24 I 0.3333 0.6667 0.6859 x1
25 I 0.3333 0.6667 0.7692 x1
26 I 0.3333 0.6667 0.8526 x1
27 I 0.3333 0.6667 0.9359 x1
28 I 0.6667 0.3333 0.0641 x1
29 I 0.6667 0.3333 0.1474 x1
30 I 0.6667 0.3333 0.2307 x1
31 I 0.6667 0.3333 0.3974 x1
32 I 0.6667 0.3333 0.4808 x1
33 I 0.6667 0.3333 0.6474 x1
34 I 0.6667 0.3333 0.7307 x1
35 I 0.6667 0.3333 0.8141 x1
36 I 0.6667 0.3333 0.9808 x1